For AsXe2OF10, a cell relaxed with PBE gives the calculated powder diffractogram in this record (λ = 1.5418 Å (Cu Kα)).

```
28
Lattice="-4.4340 4.4340 6.1918 4.4340 -4.4340 6.1918 4.4340 4.4340 -6.1918" Properties=species:S:1:pos:R:3 pbc="T T T"
As 0.0000 0.0000 0.0000
As 0.0000 0.0000 6.1918
Xe 2.2170 2.2170 -3.0959
Xe 2.2170 -2.2170 3.0959
Xe -2.2170 2.2170 3.0959
Xe 2.2170 2.2170 3.0959
O 4.4340 0.0000 0.0000
O 0.0000 4.4340 0.0000
F 5.4197 -0.9857 1.9450
F 7.3021 0.8463 0.0000
F 0.0000 0.0000 1.7755
F 0.8463 1.5660 0.0000
F 3.4483 -0.9857 4.2467
F 3.4483 0.9857 1.9450
F 5.2803 2.8681 0.0000
F 0.0000 0.0000 4.4163
F 2.8681 3.5878 0.0000
F 5.4197 0.9857 4.2467
F -0.9857 3.4483 1.9450
F 1.5660 0.8463 6.1918
F 0.0000 0.0000 7.9673
F -0.8463 1.5660 6.1918
F 0.9857 3.4483 4.2467
F 0.9857 5.4197 1.9450
F 3.5878 2.8681 6.1918
F 0.0000 0.0000 10.6080
F -2.8681 3.5878 6.1918
F -0.9857 5.4197 4.2467
```

Principal peaks in the range 10 to 80 degrees two-theta, in order of rising 2θ:
2θ = 20.15°, intensity 15.5
2θ = 24.70°, intensity 100.0
2θ = 28.47°, intensity 46.3
2θ = 28.84°, intensity 18.2
2θ = 31.98°, intensity 21.4
2θ = 35.36°, intensity 17.0
2θ = 40.97°, intensity 21.1
2θ = 48.19°, intensity 38.1
2θ = 48.66°, intensity 20.3
2θ = 65.25°, intensity 16.1